The following is a simulated powder diffractogram of Zr5Sn3N. It was derived from the GGA-PBE geometry in the Materials Project, using Cu Kα (λ = 1.5418 Å).
Kinematic intensities with the Lorentz-polarization factor, no thermal factor.

Unit cell a=8.488 b=8.488 c=5.814 alpha=90.00 beta=90.00 gamma=120.00
Fractional coordinates of all 18 atoms:
Zr  0.000  0.220  0.250
Zr  0.000  0.780  0.750
Zr  0.220  0.000  0.250
Zr  0.220  0.220  0.750
Zr  0.333  0.667  0.000
Zr  0.333  0.667  0.500
Zr  0.667  0.333  0.000
Zr  0.667  0.333  0.500
Zr  0.780  0.000  0.750
Zr  0.780  0.780  0.250
Sn  0.000  0.405  0.750
Sn  0.000  0.595  0.250
Sn  0.405  0.000  0.750
Sn  0.405  0.405  0.250
Sn  0.595  0.000  0.250
Sn  0.595  0.595  0.750
N  0.000  0.000  0.000
N  0.000  0.000  0.500

The 6 most intense peaks (2θ from 10° to 90°), sorted by position:
2θ = 32.22°, I 25.6
2θ = 35.82°, I 100.0
2θ = 36.68°, I 23.4
2θ = 37.50°, I 54.1
2θ = 58.03°, I 24.6
2θ = 71.98°, I 23.0

=====

The following is a simulated powder diffractogram of Na5SiAs3. It was derived from the GGA-PBE geometry in the Materials Project, using Cu Kα (λ = 1.5418 Å).
Kinematic intensities with the Lorentz-polarization factor, no thermal factor.

Unit cell a=8.261 b=7.575 c=15.790 alpha=90.00 beta=121.08 gamma=90.00
Fractional coordinates of all 36 atoms:
Na  0.061  0.006  0.243
Na  0.061  0.494  0.743
Na  0.248  0.533  0.584
Na  0.248  0.967  0.084
Na  0.334  0.650  0.258
Na  0.334  0.850  0.758
Na  0.342  0.163  0.919
Na  0.342  0.337  0.419
Na  0.412  0.018  0.587
Na  0.412  0.482  0.087
Na  0.588  0.518  0.913
Na  0.588  0.982  0.413
Na  0.658  0.663  0.581
Na  0.658  0.837  0.081
Na  0.666  0.150  0.242
Na  0.666  0.350  0.742
Na  0.752  0.033  0.916
Na  0.752  0.467  0.416
Na  0.939  0.506  0.257
Na  0.939  0.994  0.757
Si  0.014  0.140  0.585
Si  0.014  0.360  0.085
Si  0.986  0.640  0.915
Si  0.986  0.860  0.415
As  0.023  0.183  0.434
As  0.023  0.317  0.934
As  0.260  0.738  0.420
As  0.260  0.762  0.920
As  0.307  0.235  0.724
As  0.307  0.265  0.224
As  0.693  0.735  0.776
As  0.693  0.765  0.276
As  0.740  0.238  0.080
As  0.740  0.262  0.580
As  0.977  0.683  0.066
As  0.977  0.817  0.566

The 6 most intense peaks (2θ from 10° to 90°), sorted by position:
2θ = 23.49°, I 60.7
2θ = 24.55°, I 87.0
2θ = 25.33°, I 56.7
2θ = 32.68°, I 70.6
2θ = 32.79°, I 100.0
2θ = 40.01°, I 73.3

=====

The following is a simulated powder diffractogram of SiO2. It was derived from the GGA-PBE geometry in the Materials Project, using Cu Kα (λ = 1.5418 Å).
Kinematic intensities with the Lorentz-polarization factor, no thermal factor.

Unit cell a=11.354 b=11.354 c=11.354 alpha=101.96 beta=101.96 gamma=125.85
Fractional coordinates of all 48 atoms:
Si  0.111  0.266  0.376
Si  0.111  0.734  0.845
Si  0.141  0.641  0.282
Si  0.141  0.859  0.500
Si  0.266  0.111  0.376
Si  0.266  0.889  0.155
Si  0.359  0.641  0.500
Si  0.359  0.859  0.718
Si  0.641  0.141  0.282
Si  0.641  0.359  0.500
Si  0.734  0.111  0.845
Si  0.734  0.889  0.624
Si  0.859  0.141  0.500
Si  0.859  0.359  0.718
Si  0.889  0.266  0.155
Si  0.889  0.734  0.624
O  0.000  0.240  0.240
O  0.000  0.760  0.760
O  0.010  0.198  0.464
O  0.010  0.546  0.812
O  0.085  0.711  0.374
O  0.168  0.168  0.337
O  0.168  0.832  0.000
O  0.198  0.010  0.464
O  0.198  0.734  0.188
O  0.240  0.000  0.240
O  0.266  0.454  0.464
O  0.266  0.802  0.812
O  0.289  0.664  0.374
O  0.289  0.915  0.626
O  0.336  0.711  0.626
O  0.454  0.266  0.464
O  0.454  0.990  0.188
O  0.546  0.010  0.812
O  0.546  0.734  0.536
O  0.664  0.289  0.374
O  0.711  0.085  0.374
O  0.711  0.336  0.626
O  0.734  0.198  0.188
O  0.734  0.546  0.536
O  0.760  0.000  0.760
O  0.802  0.266  0.812
O  0.802  0.990  0.536
O  0.832  0.168  0.000
O  0.832  0.832  0.663
O  0.915  0.289  0.626
O  0.990  0.454  0.188
O  0.990  0.802  0.536

The 6 most intense peaks (2θ from 10° to 90°), sorted by position:
2θ = 10.56°, I 100.0
2θ = 16.30°, I 68.7
2θ = 19.29°, I 49.7
2θ = 19.64°, I 43.5
2θ = 21.21°, I 38.7
2θ = 24.91°, I 29.9

=====

The following is a simulated powder diffractogram of HoNi. It was derived from the GGA-PBE geometry in the Materials Project, using Cu Kα (λ = 1.5418 Å).
Kinematic intensities with the Lorentz-polarization factor, no thermal factor.

Unit cell a=7.005 b=4.148 c=5.403 alpha=90.00 beta=90.00 gamma=90.00
Fractional coordinates of all 8 atoms:
Ho  0.180  0.250  0.133
Ho  0.320  0.750  0.633
Ho  0.680  0.250  0.367
Ho  0.820  0.750  0.867
Ni  0.037  0.250  0.627
Ni  0.463  0.750  0.127
Ni  0.537  0.250  0.873
Ni  0.963  0.750  0.373

The 6 most intense peaks (2θ from 10° to 90°), sorted by position:
2θ = 30.01°, I 85.7
2θ = 33.49°, I 100.0
2θ = 35.62°, I 92.4
2θ = 37.50°, I 87.1
2θ = 41.94°, I 78.1
2θ = 43.65°, I 52.0

=====

The following is a simulated powder diffractogram of Nd2Zr2O7. It was derived from the GGA-PBE geometry in the Materials Project, using Cu Kα (λ = 1.5418 Å).
Kinematic intensities with the Lorentz-polarization factor, no thermal factor.

Unit cell a=7.676 b=3.674 c=10.999 alpha=90.00 beta=90.00 gamma=90.00
Fractional coordinates of all 22 atoms:
Nd  0.000  0.000  0.000
Nd  0.250  0.500  0.278
Nd  0.500  0.000  0.000
Nd  0.750  0.500  0.722
Zr  0.000  0.000  0.500
Zr  0.250  0.500  0.739
Zr  0.500  0.000  0.500
Zr  0.750  0.500  0.261
O  0.025  0.500  0.614
O  0.039  0.500  0.133
O  0.250  0.000  0.399
O  0.250  0.000  0.633
O  0.250  0.000  0.870
O  0.461  0.500  0.133
O  0.475  0.500  0.614
O  0.525  0.500  0.386
O  0.539  0.500  0.867
O  0.750  0.000  0.130
O  0.750  0.000  0.367
O  0.750  0.000  0.601
O  0.961  0.500  0.867
O  0.975  0.500  0.386

The 6 most intense peaks (2θ from 10° to 90°), sorted by position:
2θ = 28.36°, I 100.0
2θ = 29.23°, I 93.4
2θ = 33.77°, I 39.1
2θ = 47.62°, I 66.6
2θ = 56.64°, I 28.3
2θ = 58.14°, I 26.0

=====

The following is a simulated powder diffractogram of KTiF4. It was derived from the GGA-PBE geometry in the Materials Project, using Cu Kα (λ = 1.5418 Å).
Kinematic intensities with the Lorentz-polarization factor, no thermal factor.

Unit cell a=4.012 b=7.828 c=7.833 alpha=67.51 beta=75.76 gamma=75.71
Fractional coordinates of all 12 atoms:
K  0.000  0.000  0.000
K  0.373  0.616  0.617
Ti  0.690  0.116  0.497
Ti  0.690  0.497  0.117
F  0.190  0.502  0.111
F  0.191  0.110  0.503
F  0.569  0.109  0.753
F  0.569  0.753  0.108
F  0.599  0.406  0.407
F  0.785  0.207  0.208
F  0.808  0.860  0.506
F  0.809  0.503  0.862

The 6 most intense peaks (2θ from 10° to 90°), sorted by position:
2θ = 14.24°, I 69.1
2θ = 23.77°, I 90.5
2θ = 24.43°, I 55.4
2θ = 24.98°, I 100.0
2θ = 45.20°, I 42.8
2θ = 48.19°, I 53.5

=====

The following is a simulated powder diffractogram of Li4CO4. It was derived from the GGA-PBE geometry in the Materials Project, using Cu Kα (λ = 1.5418 Å).
Kinematic intensities with the Lorentz-polarization factor, no thermal factor.

Unit cell a=4.140 b=4.140 c=4.140 alpha=90.00 beta=90.00 gamma=90.00
Fractional coordinates of all 9 atoms:
Li  0.219  0.219  0.781
Li  0.219  0.781  0.219
Li  0.781  0.219  0.219
Li  0.781  0.781  0.781
C  0.500  0.500  0.500
O  0.299  0.299  0.299
O  0.299  0.701  0.701
O  0.701  0.299  0.701
O  0.701  0.701  0.299

The 6 most intense peaks (2θ from 10° to 90°), sorted by position:
2θ = 21.47°, I 100.0
2θ = 30.54°, I 29.9
2θ = 37.64°, I 50.5
2θ = 43.74°, I 57.8
2θ = 54.28°, I 47.3
2θ = 63.57°, I 37.6

=====

The following is a simulated powder diffractogram of ErCo9Si4. It was derived from the GGA-PBE geometry in the Materials Project, using Cu Kα (λ = 1.5418 Å).
Kinematic intensities with the Lorentz-polarization factor, no thermal factor.

Unit cell a=7.883 b=7.883 c=7.883 alpha=121.70 beta=121.70 gamma=87.07
Fractional coordinates of all 28 atoms:
Er  0.250  0.250  0.000
Er  0.750  0.750  0.000
Co  0.000  0.500  0.500
Co  0.049  0.549  0.236
Co  0.070  0.802  0.873
Co  0.187  0.951  0.500
Co  0.198  0.070  0.268
Co  0.302  0.570  0.873
Co  0.313  0.813  0.764
Co  0.430  0.302  0.732
Co  0.451  0.687  0.500
Co  0.500  0.000  0.500
Co  0.549  0.313  0.500
Co  0.570  0.698  0.268
Co  0.687  0.187  0.236
Co  0.698  0.430  0.127
Co  0.802  0.930  0.732
Co  0.813  0.049  0.500
Co  0.930  0.198  0.127
Co  0.951  0.451  0.764
Si  0.045  0.209  0.500
Si  0.209  0.709  0.164
Si  0.291  0.455  0.500
Si  0.455  0.955  0.164
Si  0.545  0.045  0.836
Si  0.709  0.545  0.500
Si  0.791  0.291  0.836
Si  0.955  0.791  0.500

The 6 most intense peaks (2θ from 10° to 90°), sorted by position:
2θ = 35.50°, I 22.7
2θ = 36.64°, I 21.9
2θ = 39.30°, I 25.1
2θ = 40.36°, I 100.0
2θ = 47.79°, I 33.8
2θ = 49.00°, I 26.1

=====

The following is a simulated powder diffractogram of SmInAg2. It was derived from the GGA-PBE geometry in the Materials Project, using Cu Kα (λ = 1.5418 Å).
Kinematic intensities with the Lorentz-polarization factor, no thermal factor.

Unit cell a=7.094 b=7.094 c=7.094 alpha=90.00 beta=90.00 gamma=90.00
Fractional coordinates of all 16 atoms:
Sm  0.000  0.000  0.000
Sm  0.000  0.500  0.500
Sm  0.500  0.000  0.500
Sm  0.500  0.500  0.000
In  0.000  0.000  0.500
In  0.000  0.500  0.000
In  0.500  0.000  0.000
In  0.500  0.500  0.500
Ag  0.250  0.250  0.250
Ag  0.250  0.250  0.750
Ag  0.250  0.750  0.250
Ag  0.250  0.750  0.750
Ag  0.750  0.250  0.250
Ag  0.750  0.250  0.750
Ag  0.750  0.750  0.250
Ag  0.750  0.750  0.750

The 6 most intense peaks (2θ from 10° to 90°), sorted by position:
2θ = 21.70°, I 1.0
2θ = 35.80°, I 100.0
2θ = 51.53°, I 17.2
2θ = 64.34°, I 34.5
2θ = 75.87°, I 10.6
2θ = 86.84°, I 15.3

=====

The following is a simulated powder diffractogram of CsMgH12Cl3O6. It was derived from the GGA-PBE geometry in the Materials Project, using Cu Kα (λ = 1.5418 Å).
Kinematic intensities with the Lorentz-polarization factor, no thermal factor.

Unit cell a=6.832 b=6.866 c=13.707 alpha=89.74 beta=89.93 gamma=89.41
Fractional coordinates of all 46 atoms:
Cs  0.000  0.000  0.000
Cs  0.012  0.025  0.498
Mg  0.505  0.506  0.750
Mg  0.507  0.511  0.245
H  0.159  0.707  0.279
H  0.168  0.278  0.766
H  0.168  0.434  0.850
H  0.181  0.564  0.368
H  0.271  0.554  0.583
H  0.281  0.169  0.224
H  0.287  0.841  0.787
H  0.307  0.572  0.070
H  0.431  0.718  0.584
H  0.453  0.167  0.148
H  0.453  0.843  0.867
H  0.463  0.739  0.074
H  0.553  0.279  0.414
H  0.554  0.171  0.630
H  0.562  0.304  0.922
H  0.578  0.848  0.345
H  0.699  0.455  0.421
H  0.702  0.162  0.718
H  0.740  0.848  0.263
H  0.745  0.442  0.914
H  0.833  0.580  0.643
H  0.850  0.455  0.128
H  0.853  0.309  0.216
H  0.853  0.725  0.730
Cl  0.003  0.003  0.749
Cl  0.009  0.011  0.248
Cl  0.023  0.500  0.992
Cl  0.503  0.023  0.001
Cl  0.510  0.001  0.493
Cl  0.993  0.522  0.503
O  0.231  0.398  0.788
O  0.233  0.593  0.303
O  0.392  0.595  0.615
O  0.405  0.233  0.207
O  0.408  0.773  0.809
O  0.423  0.616  0.106
O  0.585  0.407  0.385
O  0.586  0.232  0.692
O  0.615  0.418  0.887
O  0.615  0.786  0.283
O  0.778  0.611  0.708
O  0.783  0.423  0.189

The 6 most intense peaks (2θ from 10° to 90°), sorted by position:
2θ = 12.92°, I 65.8
2θ = 18.24°, I 56.3
2θ = 18.35°, I 98.9
2θ = 25.98°, I 85.2
2θ = 29.05°, I 48.4
2θ = 29.18°, I 100.0